Record 1
Diffraction record for Na2Si2O5. The powder XRD pattern is theoretical, not measured: it uses a DFT-relaxed cell (PBE, the Materials Project) and Cu Kα (weighted mean of Kα1 and Kα2).

Structural model:
Unit cell a=6.486 b=4.962 c=15.634 alpha=90.00 beta=90.00 gamma=90.00
Sites, in units of the cell vectors:
1 Na 0.098 0.236 0.060
2 Na 0.098 0.764 0.560
3 Na 0.402 0.264 0.560
4 Na 0.402 0.736 0.060
5 Na 0.598 0.264 0.940
6 Na 0.598 0.736 0.440
7 Na 0.902 0.236 0.440
8 Na 0.902 0.764 0.940
9 Si 0.105 0.296 0.843
10 Si 0.105 0.704 0.343
11 Si 0.395 0.204 0.343
12 Si 0.395 0.796 0.843
13 Si 0.605 0.204 0.157
14 Si 0.605 0.796 0.657
15 Si 0.895 0.296 0.657
16 Si 0.895 0.704 0.157
17 O 0.000 0.239 0.750
18 O 0.000 0.761 0.250
19 O 0.048 0.239 0.578
20 O 0.048 0.761 0.078
21 O 0.179 0.384 0.348
22 O 0.179 0.616 0.848
23 O 0.321 0.116 0.848
24 O 0.321 0.884 0.348
25 O 0.452 0.261 0.078
26 O 0.452 0.739 0.578
27 O 0.500 0.261 0.250
28 O 0.500 0.739 0.750
29 O 0.548 0.261 0.422
30 O 0.548 0.739 0.922
31 O 0.679 0.116 0.652
32 O 0.679 0.884 0.152
33 O 0.821 0.384 0.152
34 O 0.821 0.616 0.652
35 O 0.952 0.239 0.922
36 O 0.952 0.761 0.422

Peak list (12 most intense, 2θ = 5–70°, by angle)
- d 4.991, rel. 53
- d 3.909, rel. 41
- d 3.821, rel. 95
- d 3.348, rel. 100
- d 3.243, rel. 20
- d 2.674, rel. 32
- d 2.564, rel. 18
- d 2.481, rel. 63
- d 2.418, rel. 16
- d 1.993, rel. 19
- d 1.892, rel. 28
- d 1.504, rel. 23

---

Record 2
Diffraction record for NaSmSiO4. The powder XRD pattern is theoretical, not measured: it uses a DFT-relaxed cell (PBE, the Materials Project) and Cu Kα (weighted mean of Kα1 and Kα2).

Structural model:
Unit cell a=8.851 b=8.851 c=8.851 alpha=95.33 beta=95.33 gamma=144.52
Sites, in units of the cell vectors:
1 Na 0.087 0.393 0.480
2 Na 0.393 0.913 0.306
3 Na 0.607 0.087 0.694
4 Na 0.913 0.607 0.520
5 Sm 0.122 0.809 0.930
6 Sm 0.191 0.122 0.313
7 Sm 0.809 0.878 0.687
8 Sm 0.878 0.191 0.070
9 Si 0.262 0.598 0.859
10 Si 0.402 0.262 0.664
11 Si 0.598 0.738 0.336
12 Si 0.738 0.402 0.141
13 O 0.050 0.284 0.846
14 O 0.122 0.603 0.725
15 O 0.203 0.050 0.766
16 O 0.270 0.305 0.575
17 O 0.284 0.437 0.234
18 O 0.305 0.730 0.035
19 O 0.397 0.122 0.518
20 O 0.437 0.203 0.154
21 O 0.563 0.797 0.846
22 O 0.603 0.878 0.482
23 O 0.695 0.270 0.965
24 O 0.716 0.563 0.766
25 O 0.730 0.695 0.425
26 O 0.797 0.950 0.234
27 O 0.878 0.397 0.275
28 O 0.950 0.716 0.154

Peak list (12 most intense, 2θ = 5–70°, by angle)
- d 5.961, rel. 78
- d 4.914, rel. 96
- d 3.792, rel. 60
- d 3.770, rel. 79
- d 3.199, rel. 77
- d 2.819, rel. 100
- d 2.697, rel. 54
- d 2.666, rel. 34
- d 2.548, rel. 52
- d 2.193, rel. 40
- d 1.896, rel. 49
- d 1.842, rel. 59